The following is a theoretical powder diffractogram of LaSi2TcAu. It was derived from a DFT-relaxed cell (GGA-PBE, OQMD), using copper Kα.
Peak positions follow from Bragg's law for the DFT cell and can differ from measured ones.

Cell and atoms:
a b c (Å): 6.046 6.046 6.046
angles (deg): 139.25 139.25 58.99
Fractional coordinates of all 5 atoms:
La: 0.000 0.000 0.000
Si: 0.380 0.380 0.000
Si: 0.620 0.620 0.000
Tc: 0.750 0.250 0.500
Au: 0.250 0.750 0.500

Most intense lines, 2θ = 10–80°, low angle first:
2theta, intensity
16.8, 18
22.7, 26
33.2, 23
34.1, 19
34.6, 100
43.0, 34
55.9, 19
61.3, 18
62.4, 11
73.3, 23